Entry 1:
For Dy4P3, a DFT-relaxed cell (GGA-PBE, Alexandria) gives the calculated X-ray powder pattern in this record (Cu Kα (weighted mean of Kα1 and Kα2)).
No peak broadening, texture or thermal motion is included.

Structural model:
a b c (Å): 12.876 12.876 12.876
angles (deg): 17.83 17.83 17.83
Fractional coordinates of all 7 atoms:
Dy  0.125  0.125  0.125
Dy  0.375  0.375  0.375
Dy  0.625  0.625  0.625
Dy  0.875  0.875  0.875
P  0.000  0.000  0.000
P  0.247  0.247  0.247
P  0.753  0.753  0.753

Peak list (10 most intense, 10° ≤ 2θ ≤ 80°, in order of rising 2θ)
2θ/deg  I (rel.)
27.46  82
28.18  26
32.03  100
45.46  38
46.38  35
53.93  13
54.34  26
56.69  20
75.48  17
76.85  16


Entry 2:
For Ti2In2Co, a DFT-relaxed cell (GGA-PBE, Alexandria) gives the calculated X-ray powder pattern in this record (Cu Kα (weighted mean of Kα1 and Kα2)).
No peak broadening, texture or thermal motion is included.

Structural model:
a b c (Å): 6.289 6.289 4.738
angles (deg): 90.00 90.00 90.00
Fractional coordinates of all 10 atoms:
Ti  0.156  0.344  0.000
Ti  0.344  0.844  0.000
Ti  0.656  0.156  0.000
Ti  0.844  0.656  0.000
In  0.165  0.665  0.500
In  0.335  0.165  0.500
In  0.665  0.835  0.500
In  0.835  0.335  0.500
Co  0.000  0.000  0.000
Co  0.500  0.500  0.000

Peak list (10 most intense, 10° ≤ 2θ ≤ 80°, in order of rising 2θ)
2θ/deg  I (rel.)
27.51  16
31.81  13
34.22  20
37.17  100
37.98  29
45.61  24
50.36  7
60.80  22
64.14  16
68.09  15


Entry 3:
For Cs4HAuI, a DFT-relaxed cell (GGA-PBE, Alexandria) gives the calculated X-ray powder pattern in this record (Cu Kα (weighted mean of Kα1 and Kα2)).
No peak broadening, texture or thermal motion is included.

Structural model:
a b c (Å): 5.810 5.810 20.196
angles (deg): 90.00 90.00 90.00
Fractional coordinates of all 14 atoms:
Cs  0.000  0.000  0.000
Cs  0.000  0.000  0.359
Cs  0.000  0.500  0.189
Cs  0.000  0.500  0.689
Cs  0.500  0.000  0.189
Cs  0.500  0.000  0.689
Cs  0.500  0.500  0.500
Cs  0.500  0.500  0.859
H  0.000  0.000  0.154
H  0.500  0.500  0.654
Au  0.000  0.000  0.809
Au  0.500  0.500  0.309
I  0.000  0.000  0.550
I  0.500  0.500  0.050

Peak list (10 most intense, 10° ≤ 2θ ≤ 80°, in order of rising 2θ)
2θ/deg  I (rel.)
21.63  25
23.38  78
26.88  45
28.00  100
30.78  70
41.04  25
41.32  29
44.09  26
52.21  26
53.04  34


Entry 4:
For TbPmPrSm2, a DFT-relaxed cell (GGA-PBE, Alexandria) gives the calculated X-ray powder pattern in this record (Cu Kα (weighted mean of Kα1 and Kα2)).
No peak broadening, texture or thermal motion is included.

Structural model:
a b c (Å): 8.409 6.640 6.291
angles (deg): 90.00 93.43 90.00
Fractional coordinates of all 10 atoms:
Tb  0.000  0.164  0.250
Tb  0.000  0.836  0.750
Pm  0.500  0.432  0.250
Pm  0.500  0.568  0.750
Pr  0.500  0.000  0.000
Pr  0.500  0.000  0.500
Sm  0.190  0.309  0.770
Sm  0.190  0.691  0.270
Sm  0.810  0.309  0.730
Sm  0.810  0.691  0.230

Peak list (10 most intense, 10° ≤ 2θ ≤ 80°, in order of rising 2θ)
2θ/deg  I (rel.)
28.26  88
28.42  64
28.92  92
29.54  100
31.52  43
32.01  92
32.60  39
33.88  46
34.44  40
44.20  40


Entry 5:
For NdSiNi3, a DFT-relaxed cell (GGA-PBE, Alexandria) gives the calculated X-ray powder pattern in this record (Cu Kα (weighted mean of Kα1 and Kα2)).
No peak broadening, texture or thermal motion is included.

Structural model:
a b c (Å): 5.729 5.729 11.190
angles (deg): 90.00 90.00 120.00
Fractional coordinates of all 20 atoms:
Nd  0.000  0.000  0.000
Nd  0.000  0.000  0.500
Nd  0.333  0.667  0.250
Nd  0.667  0.333  0.750
Si  0.333  0.667  0.639
Si  0.333  0.667  0.861
Si  0.667  0.333  0.139
Si  0.667  0.333  0.361
Ni  0.000  0.500  0.000
Ni  0.000  0.500  0.500
Ni  0.139  0.277  0.750
Ni  0.139  0.861  0.750
Ni  0.277  0.139  0.250
Ni  0.500  0.000  0.000
Ni  0.500  0.000  0.500
Ni  0.500  0.500  0.000
Ni  0.500  0.500  0.500
Ni  0.723  0.861  0.750
Ni  0.861  0.139  0.250
Ni  0.861  0.723  0.250

Peak list (10 most intense, 10° ≤ 2θ ≤ 80°, in order of rising 2θ)
2θ/deg  I (rel.)
31.22  21
31.99  48
37.12  27
39.74  100
43.83  27
51.39  15
55.28  15
62.28  23
65.13  20
74.41  18


Entry 6:
For MnCuSn, a DFT-relaxed cell (GGA-PBE, Alexandria) gives the calculated X-ray powder pattern in this record (Cu Kα (weighted mean of Kα1 and Kα2)).
No peak broadening, texture or thermal motion is included.

Structural model:
a b c (Å): 3.897 3.972 6.457
angles (deg): 90.00 90.00 90.00
Fractional coordinates of all 6 atoms:
Mn  0.000  0.000  0.000
Mn  0.500  0.000  0.278
Cu  0.000  0.500  0.731
Cu  0.500  0.500  0.999
Sn  0.000  0.500  0.310
Sn  0.500  0.000  0.699

Peak list (10 most intense, 10° ≤ 2θ ≤ 80°, in order of rising 2θ)
2θ/deg  I (rel.)
27.63  14
32.18  35
35.13  49
41.97  22
42.92  100
45.68  27
46.62  26
63.76  12
64.51  12
67.33  17


Entry 7:
For Th2GaNi5, a DFT-relaxed cell (GGA-PBE, Alexandria) gives the calculated X-ray powder pattern in this record (Cu Kα (weighted mean of Kα1 and Kα2)).
No peak broadening, texture or thermal motion is included.

Structural model:
a b c (Å): 5.861 5.861 8.061
angles (deg): 90.00 90.00 90.00
Fractional coordinates of all 16 atoms:
Th  0.000  0.500  0.000
Th  0.000  0.500  0.500
Th  0.500  0.000  0.000
Th  0.500  0.000  0.500
Ga  0.000  0.000  0.231
Ga  0.500  0.500  0.731
Ni  0.000  0.000  0.537
Ni  0.210  0.210  0.756
Ni  0.210  0.790  0.756
Ni  0.290  0.290  0.256
Ni  0.290  0.710  0.256
Ni  0.500  0.500  0.037
Ni  0.710  0.290  0.256
Ni  0.710  0.710  0.256
Ni  0.790  0.210  0.756
Ni  0.790  0.790  0.756

Peak list (10 most intense, 10° ≤ 2θ ≤ 80°, in order of rising 2θ)
2θ/deg  I (rel.)
21.44  39
30.51  25
30.95  88
37.96  100
43.68  47
44.98  23
49.16  14
54.49  29
64.50  27
76.42  18


Entry 8:
For Sm19Y6Er4, a DFT-relaxed cell (GGA-PBE, Alexandria) gives the calculated X-ray powder pattern in this record (Cu Kα (weighted mean of Kα1 and Kα2)).
No peak broadening, texture or thermal motion is included.

Structural model:
a b c (Å): 10.899 10.899 10.899
angles (deg): 109.47 109.47 109.47
Fractional coordinates of all 29 atoms:
Sm  0.000  0.000  0.000
Sm  0.000  0.258  0.258
Sm  0.000  0.742  0.742
Sm  0.023  0.805  0.344
Sm  0.195  0.218  0.539
Sm  0.218  0.539  0.195
Sm  0.258  0.000  0.258
Sm  0.258  0.258  0.000
Sm  0.321  0.782  0.977
Sm  0.344  0.023  0.805
Sm  0.461  0.679  0.656
Sm  0.539  0.195  0.218
Sm  0.656  0.461  0.679
Sm  0.679  0.656  0.461
Sm  0.742  0.000  0.742
Sm  0.742  0.742  0.000
Sm  0.782  0.977  0.321
Sm  0.805  0.344  0.023
Sm  0.977  0.321  0.782
Y  0.127  0.627  0.500
Y  0.373  0.500  0.873
Y  0.500  0.127  0.627
Y  0.500  0.873  0.373
Y  0.627  0.500  0.127
Y  0.873  0.373  0.500
Er  0.000  0.000  0.640
Er  0.000  0.640  0.000
Er  0.360  0.360  0.360
Er  0.640  0.000  0.000

Peak list (10 most intense, 10° ≤ 2θ ≤ 80°, in order of rising 2θ)
2θ/deg  I (rel.)
26.50  32
28.37  49
30.13  100
33.40  19
34.93  33
36.40  53
51.34  17
53.51  24
59.69  22
60.68  17


Entry 9:
For Tb3DyN3, a DFT-relaxed cell (GGA-PBE, Alexandria) gives the calculated X-ray powder pattern in this record (Cu Kα (weighted mean of Kα1 and Kα2)).
No peak broadening, texture or thermal motion is included.

Structural model:
a b c (Å): 4.933 4.933 4.933
angles (deg): 90.00 90.00 90.00
Fractional coordinates of all 7 atoms:
Tb  0.000  0.000  0.500
Tb  0.000  0.500  0.000
Tb  0.500  0.000  0.000
Dy  0.500  0.500  0.500
N  0.000  0.500  0.500
N  0.500  0.000  0.500
N  0.500  0.500  0.000

Peak list (6 most intense, 10° ≤ 2θ ≤ 80°, in order of rising 2θ)
2θ/deg  I (rel.)
31.41  100
36.43  66
52.47  45
62.44  44
65.55  15
77.38  7


Entry 10:
For Tb3Nd, a DFT-relaxed cell (GGA-PBE, Alexandria) gives the calculated X-ray powder pattern in this record (Cu Kα (weighted mean of Kα1 and Kα2)).
No peak broadening, texture or thermal motion is included.

Structural model:
a b c (Å): 3.657 5.747 6.321
angles (deg): 90.00 90.00 90.00
Fractional coordinates of all 4 atoms:
Tb  0.000  0.000  0.000
Tb  0.000  0.500  0.333
Tb  0.500  0.500  0.834
Nd  0.500  0.000  0.499

Peak list (10 most intense, 10° ≤ 2θ ≤ 80°, in order of rising 2θ)
2θ/deg  I (rel.)
28.21  24
31.12  24
32.30  100
42.50  16
49.93  20
56.13  21
60.01  23
60.73  16
67.60  4
78.40  8


Entry 11:
For CsInHg3, a DFT-relaxed cell (GGA-PBE, Alexandria) gives the calculated X-ray powder pattern in this record (Cu Kα (weighted mean of Kα1 and Kα2)).
No peak broadening, texture or thermal motion is included.

Structural model:
a b c (Å): 5.608 5.608 11.112
angles (deg): 90.00 90.00 90.00
Fractional coordinates of all 10 atoms:
Cs  0.000  0.000  0.000
Cs  0.500  0.500  0.500
In  0.000  0.000  0.355
In  0.500  0.500  0.855
Hg  0.000  0.000  0.628
Hg  0.000  0.500  0.260
Hg  0.000  0.500  0.760
Hg  0.500  0.000  0.260
Hg  0.500  0.000  0.760
Hg  0.500  0.500  0.128

Peak list (10 most intense, 10° ≤ 2θ ≤ 80°, in order of rising 2θ)
2θ/deg  I (rel.)
15.95  32
27.64  100
28.89  55
31.92  97
39.61  49
43.58  36
45.76  36
54.30  32
54.70  22
62.09  26


Entry 12:
For YZnIrRu, a DFT-relaxed cell (GGA-PBE, Alexandria) gives the calculated X-ray powder pattern in this record (Cu Kα (weighted mean of Kα1 and Kα2)).
No peak broadening, texture or thermal motion is included.

Structural model:
a b c (Å): 3.862 4.166 4.204
angles (deg): 90.00 90.00 90.00
Fractional coordinates of all 4 atoms:
Y  0.000  0.000  0.000
Zn  0.000  0.500  0.500
Ir  0.500  0.500  0.000
Ru  0.500  0.000  0.500

Peak list (10 most intense, 10° ≤ 2θ ≤ 80°, in order of rising 2θ)
2θ/deg  I (rel.)
30.20  8
38.32  100
43.03  18
43.45  17
47.06  14
62.80  12
65.65  10
65.97  10
75.72  13
76.32  13